Entry 1:
Calculated PXRD pattern of TmMg2Cd8 for λ = 1.5418 Å (Cu Kα), from a PBE-relaxed structure.
Lines closer than 0.1° are merged.

Crystal structure
Cell: 16.100 4.590 6.934 Å, 90.00 104.67 90.00°
Space group C2/m (No. 12)
Asymmetric unit:
Tm 0.000 0.000 0.000 x2
Mg 0.238 0.500 0.648 x4
Cd 0.054 0.500 0.739 x4
Cd 0.092 0.000 0.474 x4
Cd 0.135 0.500 0.207 x4
Cd 0.188 0.000 0.907 x4

Main lines, by angle (5 to 70 degrees two-theta):
hkl 2 0 0, d 7.788, 11.36°, rel. 19; hkl 5 1 -1, d 2.595, 34.57°, rel. 97; hkl 1 1 2, d 2.580, 34.77°, rel. 100; hkl 0 2 0, d 2.295, 39.26°, rel. 35; hkl 6 0 1, d 2.238, 40.31°, rel. 31; hkl 4 0 -3, d 2.194, 41.15°, rel. 28; hkl 6 2 1, d 1.602, 57.53°, rel. 21; hkl 4 2 -3, d 1.586, 58.18°, rel. 20; hkl 1 3 2, d 1.374, 68.28°, rel. 13; hkl 11 1 0, d 1.353, 69.46°, rel. 13

Entry 2:
Calculated PXRD pattern of TaGeB for λ = 1.5418 Å (Cu Kα), from a PBE-relaxed structure.
Lines closer than 0.1° are merged.

Crystal structure
Cell: 5.265 3.029 10.618 Å, 90.00 90.00 90.00°
Space group C2/m (No. 12)
Asymmetric unit:
Ta 0.167 0.000 0.316 x4
Ge 0.000 0.500 0.117 x4
B 0.167 0.000 0.529 x4

Main lines, by angle (5 to 70 degrees two-theta):
hkl 0 0 1, d 10.618, 8.33°, rel. 10; hkl 0 0 2, d 5.309, 16.70°, rel. 38; hkl 0 0 3, d 3.539, 25.16°, rel. 18; hkl 1 1 1, d 2.551, 35.18°, rel. 100; hkl 1 1 -2, d 2.355, 38.21°, rel. 46; hkl 0 0 5, d 2.124, 42.57°, rel. 18; hkl 1 1 3, d 2.110, 42.86°, rel. 37; hkl 2 0 4, d 1.868, 48.76°, rel. 41; hkl 3 1 0, d 1.518, 61.02°, rel. 17; hkl 1 1 6, d 1.468, 63.36°, rel. 11

Entry 3:
Calculated PXRD pattern of MgCrW for λ = 1.5418 Å (Cu Kα), from a PBE-relaxed structure.
Lines closer than 0.1° are merged.

Crystal structure
Cell: 2.609 4.416 7.921 Å, 90.00 90.00 90.00°
Space group Imm2 (No. 44)
Asymmetric unit:
Mg 0.000 0.000 0.000 x2
Cr 0.000 0.000 0.337 x2
W 0.000 0.000 0.662 x2

Main lines, by angle (5 to 70 degrees two-theta):
hkl 0 0 2, d 3.961, 22.45°, rel. 48; hkl 0 1 1, d 3.857, 23.06°, rel. 100; hkl 1 0 1, d 2.478, 36.25°, rel. 32; hkl 0 1 3, d 2.266, 39.78°, rel. 79; hkl 1 1 0, d 2.246, 40.15°, rel. 77; hkl 0 2 0, d 2.208, 40.87°, rel. 37; hkl 1 1 2, d 1.954, 46.48°, rel. 30; hkl 1 0 3, d 1.856, 49.09°, rel. 43; hkl 1 2 1, d 1.649, 55.76°, rel. 19; hkl 1 2 3, d 1.421, 65.73°, rel. 35

Entry 4:
Calculated PXRD pattern of Nd6AlCu2 for λ = 1.5418 Å (Cu Kα), from a PBE-relaxed structure.
Lines closer than 0.1° are merged.

Crystal structure
Cell: 9.662 10.207 10.346 Å, 90.00 90.00 90.00°
Space group Immm (No. 71)
Asymmetric unit:
Nd 0.000 0.195 0.241 x8
Nd 0.203 0.500 0.177 x8
Nd 0.225 0.318 0.500 x8
Al 0.000 0.000 0.000 x2
Al 0.000 0.000 0.500 x2
Cu 0.000 0.354 0.000 x4
Cu 0.000 0.500 0.381 x4

Main lines, by angle (5 to 70 degrees two-theta):
hkl 2 0 2, d 3.531, 25.22°, rel. 26; hkl 2 2 2, d 2.904, 30.79°, rel. 100; hkl 1 3 2, d 2.727, 32.84°, rel. 49; hkl 2 1 3, d 2.706, 33.10°, rel. 53; hkl 2 3 1, d 2.686, 33.36°, rel. 57; hkl 3 2 1, d 2.636, 34.00°, rel. 27; hkl 4 0 0, d 2.416, 37.22°, rel. 30; hkl 0 2 4, d 2.307, 39.04°, rel. 25; hkl 0 3 5, d 1.767, 51.74°, rel. 21; hkl 5 3 2, d 1.598, 57.68°, rel. 26

Entry 5:
Calculated PXRD pattern of HoFe2Ge2 for λ = 1.5418 Å (Cu Kα), from a PBE-relaxed structure.
Lines closer than 0.1° are merged.

Crystal structure
Cell: 3.922 3.922 10.720 Å, 90.00 90.00 90.00°
Space group I4/mmm (No. 139)
Asymmetric unit:
Ho 0.000 0.000 0.000 x2
Fe 0.000 0.500 0.250 x4
Ge 0.000 0.000 0.383 x4

Main lines, by angle (5 to 70 degrees two-theta):
hkl 1 0 1, d 3.683, 24.16°, rel. 8; hkl 1 1 0, d 2.773, 32.28°, rel. 30; hkl 1 0 3, d 2.641, 33.94°, rel. 88; hkl 1 1 2, d 2.463, 36.48°, rel. 100; hkl 2 0 0, d 1.961, 46.30°, rel. 53; hkl 1 0 5, d 1.881, 48.38°, rel. 44; hkl 2 1 3, d 1.575, 58.63°, rel. 36; hkl 1 1 6, d 1.502, 61.77°, rel. 13; hkl 2 2 0, d 1.387, 67.55°, rel. 17; hkl 2 1 5, d 1.358, 69.20°, rel. 30